This entry pairs a crystal structure of TaNi2TeSe2 with its computed powder diffraction line list. Radiation: a wavelength of 1.5418 Å. Structure: a crystal structure in OQMD, relaxed with PBE.
Lines closer than 0.1° are merged.

```
data_TaNi2TeSe2
_chemical_formula_sum 'Ta2 Ni4 Te2 Se4'
_symmetry_space_group_name_H-M 'P 1 21/m 1'
_symmetry_Int_Tables_number 11
_symmetry_space_group_name_Hall '-P 2yb'
_cell_length_a 7.5610
_cell_length_b 3.6924
_cell_length_c 10.0662
_cell_angle_alpha 90.00
_cell_angle_beta 108.75
_cell_angle_gamma 90.00
loop_
_atom_site_label
_atom_site_type_symbol
_atom_site_fract_x
_atom_site_fract_y
_atom_site_fract_z
Ta1 Ta 0.2127 0.2500 0.2084
Ni1 Ni 0.0423 0.2500 0.9330
Ni2 Ni 0.4097 0.7500 0.4116
Te1 Te 0.2849 0.7500 0.0033
Se1 Se 0.0695 0.7500 0.3240
Se2 Se 0.4431 0.7500 0.6584
```

Peak list (10 most intense, 15° ≤ 2θ ≤ 90°, by angle)
29.33 deg, I = 57, (2 0 1)
30.71 deg, I = 97, (1 1 -2)
33.97 deg, I = 44, (2 1 -1)
34.91 deg, I = 35, (2 1 0)
36.34 deg, I = 49, (1 1 -3)
37.34 deg, I = 34, (0 1 3)
42.41 deg, I = 48, (1 1 3)
43.55 deg, I = 100, (3 1 -1)
44.03 deg, I = 42, (3 1 -2)
49.36 deg, I = 48, (0 2 0)